Simulated powder X-ray diffraction pattern
Compound: Mg2Sn
Radiation: Cu Ka
Structure: a GGA-PBE-relaxed structure

The 10 most intense peaks (2θ = 10–90°), low angle first:
two_theta  I (rel.)
11.1  17
31.7  24
32.2  22
33.7  34
33.8  25
36.0  100
39.1  17
56.4  19
61.9  19
67.4  26

Crystal structure
```
Mg2Sn
1.0
3.261 0.000 0.000
-1.631 2.824 0.000
0.000 0.000 15.914
Mg Sn
4 2
Cartesian
0.000 1.883 3.919
0.000 1.883 14.594
1.631 0.941 1.321
1.631 0.941 11.995
0.000 1.883 9.395
1.631 0.941 6.519
```

Simulated powder X-ray diffraction pattern
Compound: Sm6Mn23
Radiation: Cu Ka
Structure: a GGA-PBE-relaxed structure

The 10 most intense peaks (2θ = 10–90°), low angle first:
two_theta  I (rel.)
25.1  30
29.1  24
31.8  22
35.8  30
38.1  87
41.6  100
53.3  15
61.8  21
64.4  23
81.0  20

Crystal structure
```
Sm6Mn23
1.0
0.000 6.142 6.142
6.142 0.000 6.142
6.142 6.142 0.000
Sm Mn
6 23
Cartesian
6.142 6.142 2.583
6.142 2.583 6.142
9.700 6.142 6.142
2.583 6.142 6.142
6.142 9.700 6.142
6.142 6.142 9.700
3.071 3.071 0.000
3.071 0.000 3.071
6.142 3.071 3.071
7.600 4.683 4.683
2.208 2.208 2.208
3.934 3.934 2.208
3.934 2.208 3.934
4.683 4.683 4.683
7.600 7.600 4.683
7.600 4.683 7.600
2.208 3.934 3.934
0.000 3.071 3.071
3.071 6.142 3.071
3.071 3.071 6.142
6.142 6.142 6.142
10.075 8.350 8.350
4.683 7.600 4.683
4.683 4.683 7.600
7.600 7.600 7.600
8.350 10.075 8.350
8.350 8.350 10.075
10.075 10.075 10.075
4.683 7.600 7.600
```

Simulated powder X-ray diffraction pattern
Compound: USi2Au2
Radiation: Cu Ka
Structure: a GGA-PBE-relaxed structure

The 10 most intense peaks (2θ = 10–90°), low angle first:
two_theta  I (rel.)
22.8  22
33.2  18
33.9  21
34.7  100
43.1  32
55.9  21
61.1  17
62.6  11
73.1  10
73.6  24

Crystal structure
```
USi2Au2
1.0
4.195 0.000 0.000
0.000 4.195 0.000
0.000 0.000 10.589
U Si Au
2 4 4
Cartesian
0.000 0.000 0.000
2.097 2.097 5.294
0.000 0.000 4.146
0.000 0.000 6.442
2.097 2.097 1.148
2.097 2.097 9.440
0.000 2.097 2.647
0.000 2.097 7.941
2.097 0.000 2.647
2.097 0.000 7.941
```

Simulated powder X-ray diffraction pattern
Compound: Pd3N
Radiation: Cu Ka
Structure: a GGA-PBE-relaxed structure

The 10 most intense peaks (2θ = 10–90°), low angle first:
two_theta  I (rel.)
23.2  26
33.1  21
40.8  100
47.4  48
53.5  11
59.0  8
69.3  30
74.2  5
83.7  35
88.3  11

Crystal structure
```
Pd3N
1.0
3.833 0.000 0.000
0.000 3.833 0.000
0.000 0.000 3.833
Pd N
3 1
Cartesian
0.000 0.000 1.916
0.000 1.916 0.000
1.916 0.000 0.000
1.916 1.916 1.916
```

Simulated powder X-ray diffraction pattern
Compound: Dy4CdIr
Radiation: Cu Ka
Structure: a GGA-PBE-relaxed structure

The 10 most intense peaks (2θ = 10–90°), low angle first:
two_theta  I (rel.)
28.5  16
32.1  41
34.1  100
37.3  36
57.3  40
58.6  14
68.4  12
71.5  13
86.5  14
88.3  14

Crystal structure
```
Dy4CdIr
1.0
0.000 6.824 6.824
6.824 0.000 6.824
6.824 6.824 0.000
Dy Cd Ir
16 4 4
Cartesian
6.824 6.824 2.556
6.824 2.556 6.824
11.092 6.824 6.824
5.473 5.473 5.473
8.174 8.174 5.473
8.174 5.473 8.174
10.236 10.236 7.653
10.236 7.653 10.236
12.818 10.236 10.236
5.473 8.174 8.174
2.556 6.824 6.824
6.824 11.092 6.824
6.824 6.824 11.092
7.653 10.236 10.236
10.236 12.818 10.236
10.236 10.236 12.818
2.302 2.302 2.302
4.522 4.522 2.302
4.522 2.302 4.522
2.302 4.522 4.522
8.298 5.350 5.350
5.350 8.298 5.350
5.350 5.350 8.298
8.298 8.298 8.298
```

Simulated powder X-ray diffraction pattern
Compound: Er2TiO5
Radiation: Cu Ka
Structure: a GGA-PBE-relaxed structure

The 10 most intense peaks (2θ = 10–90°), low angle first:
two_theta  I (rel.)
18.8  79
25.9  57
29.2  78
30.4  100
32.8  45
33.2  34
34.0  42
34.9  32
43.3  32
48.3  41

Crystal structure
```
Er2TiO5
1.0
5.817 -2.633 0.000
5.817 2.633 0.000
-3.029 0.000 6.887
Er Ti O
4 2 10
Cartesian
4.302 2.593 3.444
5.395 0.047 6.866
6.909 -0.047 3.422
5.817 -2.593 0.000
3.424 0.028 1.771
1.910 -0.028 5.214
1.899 0.762 0.747
4.422 1.680 1.410
2.705 0.894 3.410
0.385 -0.762 4.191
3.486 0.762 6.121
1.190 -0.894 6.854
8.301 0.954 2.013
5.001 -0.762 2.677
2.908 -1.680 4.854
6.787 -0.954 5.457
```